Starting from DFT lattice parameters and positions (PBE+U), the powder diffraction line list of Co7P6H4O24 was computed for CuKα.

Crystal structure
a = 6.533 Å, b = 7.933 Å, c = 9.599 Å
α = 104.52°, β = 108.97°, γ = 101.35°
Space group P-1 (No. 2)
Inequivalent atoms, fractional coordinates:
Co 0.000 0.000 0.000 [1 per cell]
Co 0.051 0.713 0.514 [2 per cell]
Co 0.288 0.811 0.287 [2 per cell]
Co 0.387 0.458 0.109 [2 per cell]
P 0.085 0.581 0.826 [2 per cell]
P 0.225 0.146 0.779 [2 per cell]
P 0.413 0.233 0.373 [2 per cell]
H 0.175 0.873 0.809 [2 per cell]
H 0.374 0.423 0.563 [2 per cell]
O 0.016 0.173 0.664 [2 per cell]
O 0.054 0.544 0.653 [2 per cell]
O 0.109 0.786 0.901 [2 per cell]
O 0.127 0.541 0.165 [2 per cell]
O 0.203 0.933 0.725 [2 per cell]
O 0.223 0.188 0.946 [2 per cell]
O 0.263 0.051 0.240 [2 per cell]
O 0.276 0.298 0.477 [2 per cell]
O 0.302 0.537 0.913 [2 per cell]
O 0.377 0.793 0.510 [2 per cell]
O 0.449 0.245 0.773 [2 per cell]
O 0.480 0.386 0.311 [2 per cell]

Peak list (8 most intense, 5 to 70 degrees two-theta, in order of rising 2θ)
d 4.862, I = 19, hkl -1 1 1; d 4.387, I = 25, hkl 1 -1 1; d 3.197, I = 39, hkl 2 0 -1; d 3.074, I = 18, hkl 2 -1 0; d 3.016, I = 100, hkl 0 2 1; d 2.734, I = 14, hkl 2 -2 0; d 2.645, I = 15, hkl 1 2 -3; d 2.518, I = 16, hkl 0 3 -2